Simulated PXRD pattern of AlCo2S4 for λ = 1.5418 Å (Cu Kα), from a cell relaxed with PBE.
Peak positions follow from Bragg's law for the DFT cell and can differ from measured ones.

Main lines, sorted by position (2θ = 10–90°):
d (Å)  intensity
5.602  78
5.472  17
2.417  100
2.358  47
1.688  59
1.680  15

Structure:
```
14
Lattice="-3.3593 3.4816 4.7159 3.3593 -3.4816 4.7159 3.3593 3.4816 -4.7159" Properties=species:S:1:pos:R:3 pbc="T T T"
Al 0.0000 0.0000 0.0000
Al 0.0000 3.4816 0.0000
Co 3.3593 0.0000 0.0000
Co -1.6796 1.7408 2.3580
Co 0.0000 0.0000 4.7159
Co 1.6796 1.7408 2.3580
S 1.7417 1.7408 0.1106
S 4.9768 1.7408 0.1106
S 3.3593 0.2320 2.3213
S 0.0000 0.2320 2.3946
S 3.3593 3.2496 2.3213
S 0.0000 3.2496 2.3946
S -1.6176 1.7408 4.6053
S 1.6176 1.7408 4.6053
```

=====

Simulated PXRD pattern of AlCo2S4 for λ = 1.5418 Å (Cu Kα), from a cell relaxed with PBE.
Peak positions follow from Bragg's law for the DFT cell and can differ from measured ones.

Main lines, sorted by position (2θ = 10–90°):
d (Å)  intensity
5.558  87
2.903  80
2.407  100
1.853  51
1.702  93
1.390  18

Structure:
```
14
Lattice="0.0000 4.8136 4.8136 4.8136 0.0000 4.8136 4.8136 4.8136 0.0000" Properties=species:S:1:pos:R:3 pbc="T T T"
Al 1.2034 1.2034 1.2034
Al 8.4237 8.4237 8.4237
Co 4.8136 2.4068 2.4068
Co 2.4068 4.8136 2.4068
Co 2.4068 2.4068 4.8136
Co 4.8136 4.8136 4.8136
S 2.5362 2.5362 2.5362
S 4.6841 4.6841 2.5362
S 4.6841 2.5362 4.6841
S 7.0909 4.9430 4.9430
S 2.5362 4.6841 4.6841
S 4.9430 7.0909 4.9430
S 4.9430 4.9430 7.0909
S 7.0909 7.0909 7.0909
```

=====

Simulated PXRD pattern of Y3AlCoS7 for λ = 1.5418 Å (Cu Kα), from a cell relaxed with PBE.
Peak positions follow from Bragg's law for the DFT cell and can differ from measured ones.

Main lines, sorted by position (2θ = 10–90°):
d (Å)  intensity
8.298  41
3.439  100
2.522  51
2.470  60
2.395  56
2.195  44

Structure:
```
24
Lattice="9.5811 0.0000 0.0000 -4.7906 8.2975 0.0000 0.0000 0.0000 6.1473" Properties=species:S:1:pos:R:3 pbc="T T T"
Y -0.3440 3.1037 0.0000
Y -1.9307 7.0436 0.0000
Y 2.5159 1.8497 3.0736
Y 2.2747 6.4478 0.0000
Y 6.7213 1.2539 3.0736
Y 5.1346 5.1938 3.0736
Al 0.0000 5.5317 2.6093
Al 4.7906 2.7658 5.6829
Co 0.0000 0.0000 2.1100
Co 0.0000 0.0000 5.1837
S -1.8813 4.7442 1.6652
S -0.1648 1.8455 3.6772
S -3.1099 7.5175 3.6772
S 1.5158 1.0655 0.6036
S 0.0000 5.5317 4.8513
S 1.6226 4.2962 1.6652
S 0.2587 7.5546 1.6652
S 4.5319 0.7429 4.7389
S 3.1680 4.0013 4.7389
S 4.7906 2.7658 1.7777
S 3.2747 7.2321 3.6772
S 7.9005 0.7800 0.6036
S 4.9554 6.4520 0.6036
S 6.6718 3.5533 4.7389
```

=====

Simulated PXRD pattern of Sc2Al9Co3 for λ = 1.5418 Å (Cu Kα), from a cell relaxed with PBE.
Peak positions follow from Bragg's law for the DFT cell and can differ from measured ones.

Main lines, sorted by position (2θ = 10–90°):
d (Å)  intensity
2.843  44
2.330  69
2.272  39
2.120  100
2.096  47
1.922  34

Structure:
```
28
Lattice="6.2887 -3.6870 0.0000 6.2887 3.6870 0.0000 0.0000 0.0000 9.0898" Properties=species:S:1:pos:R:3 pbc="T T T"
Sc 4.3015 2.4791 6.8173
Sc 8.2759 2.4791 6.8173
Sc 4.3015 -2.4791 2.2724
Sc 8.2759 -2.4791 2.2724
Al 2.1467 1.2253 5.2194
Al 2.1467 1.2253 8.4153
Al 6.2887 2.7755 2.2724
Al 6.2887 1.2546 4.9741
Al 6.2887 1.2546 8.6605
Al 2.1467 -1.2253 0.6745
Al 2.1467 -1.2253 3.8704
Al 4.8777 0.3438 2.2724
Al 4.8777 -0.3438 6.8173
Al 7.6997 0.3438 2.2724
Al 7.6997 -0.3438 6.8173
Al 10.4307 1.2253 5.2194
Al 10.4307 1.2253 8.4153
Al 6.2887 -1.2546 0.4292
Al 6.2887 -1.2546 4.1156
Al 6.2887 -2.7755 6.8173
Al 10.4307 -1.2253 0.6745
Al 10.4307 -1.2253 3.8704
Co 0.0000 0.0000 0.0000
Co 0.0000 0.0000 4.5449
Co 4.1310 0.0000 0.0000
Co 4.1310 0.0000 4.5449
Co 8.4464 0.0000 0.0000
Co 8.4464 0.0000 4.5449
```

=====

Simulated PXRD pattern of Al3Co3Si4 for λ = 1.5418 Å (Cu Kα), from a cell relaxed with PBE.
Peak positions follow from Bragg's law for the DFT cell and can differ from measured ones.

Main lines, sorted by position (2θ = 10–90°):
d (Å)  intensity
3.308  57
2.339  37
1.910  100
1.654  19
1.351  18
1.103  34

Structure:
```
20
Lattice="-4.0519 4.0519 4.0519 4.0519 -4.0519 4.0519 4.0519 4.0519 -4.0519" Properties=species:S:1:pos:R:3 pbc="T T T"
Al 4.0519 2.0260 0.0000
Al 4.0519 0.0000 2.0260
Al 2.0260 4.0519 0.0000
Al 2.0260 0.0000 4.0519
Al 0.0000 4.0519 2.0260
Al 0.0000 2.0260 4.0519
Co 2.7138 0.0000 0.0000
Co 5.3901 0.0000 0.0000
Co 0.0000 2.7138 0.0000
Co 0.0000 0.0000 2.7138
Co 0.0000 5.3901 0.0000
Co 0.0000 0.0000 5.3901
Si 1.3142 1.3142 6.7896
Si 2.7377 2.7377 -2.7377
Si 1.3142 6.7896 1.3142
Si 2.7377 -2.7377 2.7377
Si -1.3142 1.3142 1.3142
Si 1.3142 1.3142 1.3142
Si -2.7377 2.7377 2.7377
Si 2.7377 2.7377 2.7377
```

=====

Simulated PXRD pattern of Sm2Al9Co3 for λ = 1.5418 Å (Cu Kα), from a cell relaxed with PBE.
Peak positions follow from Bragg's law for the DFT cell and can differ from measured ones.

Main lines, sorted by position (2θ = 10–90°):
d (Å)  intensity
3.446  82
2.909  62
2.408  49
2.392  100
2.350  51
2.161  98

Structure:
```
28
Lattice="6.3836 -3.7622 0.0000 6.3836 3.7622 0.0000 0.0000 0.0000 9.4000" Properties=species:S:1:pos:R:3 pbc="T T T"
Sm 4.3236 2.5000 7.0500
Sm 8.4436 2.5000 7.0500
Sm 4.3236 -2.5000 2.3500
Sm 8.4436 -2.5000 2.3500
Al 8.5229 -2.5007 5.3539
Al 8.5229 -2.5007 8.7461
Al 4.2444 2.5007 0.6539
Al 4.2444 2.5007 4.0461
Al 6.3836 2.8101 2.3500
Al 6.3836 1.2585 5.0854
Al 6.3836 1.2585 9.0145
Al 8.5229 2.5007 0.6539
Al 8.5229 2.5007 4.0461
Al 5.0258 0.4178 2.3500
Al 5.0258 -0.4178 7.0500
Al 7.7414 0.4178 2.3500
Al 7.7414 -0.4178 7.0500
Al 4.2444 -2.5007 5.3539
Al 4.2444 -2.5007 8.7461
Al 6.3836 -1.2585 0.3855
Al 6.3836 -1.2585 4.3145
Al 6.3836 -2.8101 7.0500
Co 0.0000 0.0000 0.0000
Co 0.0000 0.0000 4.7000
Co 4.2072 0.0000 0.0000
Co 4.2072 0.0000 4.7000
Co 8.5601 0.0000 0.0000
Co 8.5601 0.0000 4.7000
```

=====

Simulated PXRD pattern of Sm7Al7Co6 for λ = 1.5418 Å (Cu Kα), from a cell relaxed with PBE.
Peak positions follow from Bragg's law for the DFT cell and can differ from measured ones.

Main lines, sorted by position (2θ = 10–90°):
d (Å)  intensity
3.439  32
2.638  100
2.545  30
2.282  45
2.242  35
2.083  35

Structure:
```
40
Lattice="13.6369 0.0000 0.0000 0.0000 13.6369 0.0000 0.0000 0.0000 4.1650" Properties=species:S:1:pos:R:3 pbc="T T T"
Sm 0.0000 0.0000 0.0000
Sm 0.6328 3.5784 0.0000
Sm 1.7925 8.6110 2.0825
Sm 3.2400 6.1857 0.0000
Sm 3.5784 13.0041 0.0000
Sm 5.0260 1.7925 2.0825
Sm 6.1857 10.3969 0.0000
Sm 6.8185 6.8185 0.0000
Sm 7.4513 3.2400 0.0000
Sm 8.6110 11.8444 2.0825
Sm 10.0585 0.6328 0.0000
Sm 10.3969 7.4513 0.0000
Sm 11.8444 5.0260 2.0825
Sm 13.0041 10.0585 0.0000
Al 0.0000 6.8185 0.0000
Al 1.3237 11.7486 2.0825
Al 1.8883 1.3237 2.0825
Al 2.9022 3.9162 2.0825
Al 3.9162 10.7347 2.0825
Al 4.9301 8.1421 2.0825
Al 5.4948 4.9301 2.0825
Al 6.8185 0.0000 0.0000
Al 8.1421 8.7068 2.0825
Al 8.7068 5.4948 2.0825
Al 9.7207 2.9022 2.0825
Al 10.7347 9.7207 2.0825
Al 11.7486 12.3133 2.0825
Al 12.3133 1.8883 2.0825
Co 1.0131 5.8053 2.0825
Co 2.2336 10.7382 0.0000
Co 2.8987 2.2336 0.0000
Co 3.9198 9.0521 0.0000
Co 4.5849 3.9198 0.0000
Co 5.8053 12.6238 2.0825
Co 7.8316 1.0131 2.0825
Co 9.0521 9.7171 0.0000
Co 9.7171 4.5849 0.0000
Co 10.7382 11.4033 0.0000
Co 11.4033 2.8987 0.0000
Co 12.6238 7.8316 2.0825
```